# 1
For AgPtI2, a crystal structure in Alexandria, relaxed with PBE gives the theoretical PXRD pattern in this record (Cu Kα, 1.54184 Å).
Peak positions follow from Bragg's law for the DFT cell and can differ from measured ones.

Atomic structure:
```
data_AgPtI2
_chemical_formula_sum 'Ag2 Pt2 I4'
_space_group_name_H-M_alt 'P 1'
_space_group_IT_number 1
_cell_length_a 5.7963
_cell_length_b 6.7930
_cell_length_c 6.9731
_cell_angle_alpha 77.72
_cell_angle_beta 79.39
_cell_angle_gamma 88.21
loop_
_space_group_symop_operation_xyz
'x,y,z'
loop_
_atom_site_label
_atom_site_type_symbol
_atom_site_fract_x
_atom_site_fract_y
_atom_site_fract_z
Ag1 Ag 0.0000 0.0000 0.0000
Ag2 Ag 0.2185 0.5998 0.0538
Pt1 Pt 0.7286 0.6434 0.0166
Pt2 Pt 0.8554 0.4831 0.3794
I1 I 0.1380 0.1908 0.3023
I2 I 0.4870 0.9131 0.7857
I3 I 0.5753 0.7793 0.3332
I4 I 0.9195 0.4112 0.7644
```

Top 6 peaks for 10 to 90 degrees two-theta, in order of rising 2θ:
2θ = 13.2°, I = 38.7, (0 0 1); 2θ = 13.3°, I = 46.0, (0 1 0); 2θ = 20.6°, I = 100.0, (1 1 0); 2θ = 28.9°, I = 37.5, (1 1 2); 2θ = 41.9°, I = 45.2, (2 2 0); 2θ = 43.8°, I = 39.8, (-2 2 1)

=====

# 2
For Tl2AgPtI6, a crystal structure in Alexandria, relaxed with PBE gives the theoretical PXRD pattern in this record (Cu Kα, 1.54184 Å).
Peak positions follow from Bragg's law for the DFT cell and can differ from measured ones.

Atomic structure:
```
data_Tl2AgPtI6
_chemical_formula_sum 'Tl12 Ag6 Pt6 I36'
_space_group_name_H-M_alt 'R -3 m'
_space_group_IT_number 166
_space_group_name_Hall '-R 3 2"'
_cell_length_a 7.8980
_cell_length_b 7.8980
_cell_length_c 42.3197
_cell_angle_alpha 90.00
_cell_angle_beta 90.00
_cell_angle_gamma 120.00
loop_
_atom_site_label
_atom_site_type_symbol
_atom_site_fract_x
_atom_site_fract_y
_atom_site_fract_z
Tl1 Tl 0.0000 0.0000 0.1084
Tl2 Tl 0.0000 0.0000 0.3108
Ag1 Ag 0.0000 0.0000 0.4164
Pt1 Pt 0.0000 0.0000 0.0000
Pt2 Pt 0.0000 0.0000 0.5000
I1 I 0.0038 0.5019 0.1291
I2 I 0.0062 0.5031 0.7055
```

Top 6 peaks for 10 to 90 degrees two-theta, in order of rising 2θ:
2θ = 13.6°, I = 51.7, (0 1 2); 2θ = 22.5°, I = 44.6, (1 1 0); 2θ = 28.1°, I = 100.0, (2 0 5); 2θ = 30.0°, I = 80.0, (0 2 7); 2θ = 33.7°, I = 55.9, (0 2 10); 2θ = 46.0°, I = 70.9, (2 2 0)

=====

# 3
For PuAg2I5, a crystal structure in Alexandria, relaxed with PBE gives the theoretical PXRD pattern in this record (Cu Kα, 1.54184 Å).
Peak positions follow from Bragg's law for the DFT cell and can differ from measured ones.

Atomic structure:
```
data_PuAg2I5
_chemical_formula_sum 'Pu2 Ag4 I10'
_space_group_name_H-M_alt 'C 1 m 1'
_space_group_IT_number 8
_cell_length_a 13.5203
_cell_length_b 8.9575
_cell_length_c 7.7049
_cell_angle_alpha 90.00
_cell_angle_beta 120.15
_cell_angle_gamma 90.00
loop_
_space_group_symop_operation_xyz
'x,y,z'
'x,-y,z'
'x+1/2,y+1/2,z'
'x+1/2,-y+1/2,z'
loop_
_atom_site_label
_atom_site_type_symbol
_atom_site_fract_x
_atom_site_fract_y
_atom_site_fract_z
Pu1 Pu 0.0000 0.0000 0.0000
Ag1 Ag 0.3628 0.2735 0.5387
I1 I 0.0753 0.2768 0.8825
I2 I 0.2500 0.5000 0.6373
I3 I 0.2590 0.0000 0.3520
I4 I 0.4066 0.5000 0.2886
```

Top 6 peaks for 10 to 90 degrees two-theta, in order of rising 2θ:
2θ = 12.4°, I = 97.9, (1 1 0); 2θ = 14.3°, I = 100.0, (2 0 -1); 2θ = 15.2°, I = 70.5, (1 1 -1); 2θ = 24.8°, I = 60.1, (2 0 1); 2θ = 26.9°, I = 48.3, (3 1 -2); 2θ = 35.2°, I = 51.6, (4 2 -2)

=====

# 4
For PuAgI4, a crystal structure in Alexandria, relaxed with PBE gives the theoretical PXRD pattern in this record (Cu Kα, 1.54184 Å).
Peak positions follow from Bragg's law for the DFT cell and can differ from measured ones.

Atomic structure:
```
data_PuAgI4
_chemical_formula_sum 'Pu2 Ag2 I8'
_space_group_name_H-M_alt 'C 1 2/m 1'
_space_group_IT_number 12
_cell_length_a 16.6349
_cell_length_b 4.4404
_cell_length_c 7.6281
_cell_angle_alpha 90.00
_cell_angle_beta 115.88
_cell_angle_gamma 90.00
loop_
_space_group_symop_operation_xyz
'x,y,z'
'-x,-y,-z'
'-x,y,-z'
'x,-y,z'
'x+1/2,y+1/2,z'
'-x+1/2,-y+1/2,-z'
'-x+1/2,y+1/2,-z'
'x+1/2,-y+1/2,z'
loop_
_atom_site_label
_atom_site_type_symbol
_atom_site_fract_x
_atom_site_fract_y
_atom_site_fract_z
Pu1 Pu 0.0000 0.0000 0.0000
Ag1 Ag 0.0000 0.5000 0.5000
I1 I 0.1106 0.0000 0.4465
I2 I 0.1263 0.5000 0.9768
```

Top 6 peaks for 10 to 90 degrees two-theta, in order of rising 2θ:
2θ = 11.8°, I = 83.8, (2 0 0); 2θ = 26.0°, I = 59.1, (0 0 2); 2θ = 26.2°, I = 100.0, (3 1 -1); 2θ = 33.7°, I = 44.8, (5 1 -1); 2θ = 40.9°, I = 38.8, (3 1 -3); 2θ = 43.0°, I = 45.4, (5 1 1)